This entry pairs a crystal structure of RbTaO3 with its calculated powder diffraction line list. Radiation: Cu Kα X-rays. Structure: a structure optimized by DFT (GGA-PBE).
Kinematic intensities with the Lorentz-polarization factor, no thermal factor.

Main lines, in order of rising 2θ (10 to 90 degrees two-theta):
- (1 0 0), 4.071 Å, 21.83°, rel. 231
- (1 1 0), 2.879 Å, 31.07°, rel. 1000
- (2 0 0), 2.036 Å, 44.51°, rel. 293
- (2 1 0), 1.821 Å, 50.10°, rel. 101
- (2 1 1), 1.662 Å, 55.27°, rel. 404
- (2 2 0), 1.439 Å, 64.77°, rel. 182
- (3 0 0), 1.357 Å, 69.23°, rel. 47
- (3 1 0), 1.287 Å, 73.57°, rel. 176
- (2 2 2), 1.175 Å, 81.98°, rel. 62
- (3 2 0), 1.129 Å, 86.12°, rel. 21

Structure:
```
5
Lattice="4.071 0.000 0.000 0.000 4.071 0.000 0.000 0.000 4.071" Properties=species:S:1:pos:R:3 pbc="T T T"
Rb 0.000 0.000 0.000
Ta 2.036 2.036 2.036
O 0.000 2.036 2.036
O 2.036 0.000 2.036
O 2.036 2.036 0.000
```